# 1
# LiTm2Mg8
Computed powder diffractogram, Cu Kα (λ = 1.5418 Å). Input: a PBE-relaxed structure.
Kinematic intensities with the Lorentz-polarization factor, no thermal factor.

Cell and atoms:
a = 8.495 Å, b = 8.495 Å, c = 6.733 Å
α = 101.06°, β = 101.06°, γ = 33.51°
Positions (direct):
Li (0.000, 0.000, 0.000)
Tm (0.279, 0.279, 0.351)
Tm (0.721, 0.721, 0.649)
Mg (0.090, 0.090, 0.436)
Mg (0.164, 0.164, 0.892)
Mg (0.354, 0.354, 0.845)
Mg (0.470, 0.470, 0.267)
Mg (0.530, 0.530, 0.733)
Mg (0.646, 0.646, 0.155)
Mg (0.836, 0.836, 0.108)
Mg (0.910, 0.910, 0.564)

Peak list (10 most intense, 2θ = 10–80°, sorted by position)
- 11.1°, d = 7.969 Å, intensity 100
- 13.4°, d = 6.596 Å, intensity 28
- 22.6°, d = 3.929 Å, intensity 30
- 23.9°, d = 3.716 Å, intensity 22
- 26.5°, d = 3.359 Å, intensity 34
- 33.5°, d = 2.672 Å, intensity 20
- 34.0°, d = 2.635 Å, intensity 52
- 34.2°, d = 2.625 Å, intensity 56
- 36.7°, d = 2.449 Å, intensity 24
- 39.0°, d = 2.309 Å, intensity 23

---

# 2
# CdIn12Hg16
Computed powder diffractogram, Cu Kα (λ = 1.5418 Å). Input: a PBE-relaxed structure.
Kinematic intensities with the Lorentz-polarization factor, no thermal factor.

Cell and atoms:
a = 10.114 Å, b = 10.114 Å, c = 9.917 Å
α = 109.07°, β = 109.07°, γ = 110.90°
Positions (direct):
Cd (0.000, 0.000, 0.000)
In (0.034, 0.034, 0.534)
In (0.118, 0.608, 0.084)
In (0.218, 0.416, 0.262)
In (0.379, 0.810, 0.474)
In (0.386, 0.600, 0.950)
In (0.416, 0.218, 0.262)
In (0.600, 0.386, 0.950)
In (0.608, 0.118, 0.084)
In (0.766, 0.961, 0.648)
In (0.800, 0.800, 0.136)
In (0.810, 0.379, 0.474)
In (0.961, 0.766, 0.648)
Hg (0.011, 0.330, 0.736)
Hg (0.190, 0.962, 0.310)
Hg (0.199, 0.596, 0.608)
Hg (0.243, 0.243, 0.947)
Hg (0.250, 0.848, 0.966)
Hg (0.330, 0.011, 0.736)
Hg (0.343, 0.343, 0.617)
Hg (0.572, 0.572, 0.552)
Hg (0.590, 0.942, 0.300)
Hg (0.596, 0.199, 0.608)
Hg (0.596, 0.832, 0.840)
Hg (0.607, 0.607, 0.273)
Hg (0.832, 0.596, 0.840)
Hg (0.848, 0.250, 0.966)
Hg (0.942, 0.590, 0.300)
Hg (0.962, 0.190, 0.310)

Peak list (10 most intense, 2θ = 10–80°, sorted by position)
- 30.8°, d = 2.905 Å, intensity 34
- 31.2°, d = 2.868 Å, intensity 15
- 32.5°, d = 2.754 Å, intensity 100
- 32.9°, d = 2.720 Å, intensity 72
- 33.1°, d = 2.709 Å, intensity 51
- 33.2°, d = 2.702 Å, intensity 22
- 36.2°, d = 2.482 Å, intensity 26
- 36.7°, d = 2.446 Å, intensity 32
- 38.4°, d = 2.344 Å, intensity 21
- 58.8°, d = 1.570 Å, intensity 15

---

# 3
# TaTcNi2H
Computed powder diffractogram, Cu Kα (λ = 1.5418 Å). Input: a PBE-relaxed structure.
Kinematic intensities with the Lorentz-polarization factor, no thermal factor.

Cell and atoms:
a = 3.689 Å, b = 3.689 Å, c = 4.119 Å
α = 90.00°, β = 90.00°, γ = 90.00°
Positions (direct):
Ta (0.000, 0.000, 0.000)
Tc (0.500, 0.500, 0.000)
Ni (0.000, 0.500, 0.500)
Ni (0.500, 0.000, 0.500)
H (0.000, 0.000, 0.500)

Peak list (10 most intense, 2θ = 10–80°, sorted by position)
- 21.6°, d = 4.119 Å, intensity 17
- 24.1°, d = 3.689 Å, intensity 7
- 32.6°, d = 2.748 Å, intensity 6
- 34.4°, d = 2.609 Å, intensity 11
- 40.9°, d = 2.204 Å, intensity 100
- 44.0°, d = 2.060 Å, intensity 21
- 49.4°, d = 1.845 Å, intensity 29
- 68.3°, d = 1.374 Å, intensity 22
- 72.5°, d = 1.304 Å, intensity 9
- 78.8°, d = 1.215 Å, intensity 14

---

# 4
# LaTcTe2
Computed powder diffractogram, Cu Kα (λ = 1.5418 Å). Input: a PBE-relaxed structure.
Kinematic intensities with the Lorentz-polarization factor, no thermal factor.

Cell and atoms:
a = 4.456 Å, b = 4.456 Å, c = 6.259 Å
α = 90.00°, β = 90.00°, γ = 120.00°
Positions (direct):
La (0.000, 0.000, 0.000)
Tc (0.000, 0.000, 0.500)
Te (0.333, 0.667, 0.320)
Te (0.667, 0.333, 0.680)

Peak list (10 most intense, 2θ = 10–80°, sorted by position)
- 23.0°, d = 3.859 Å, intensity 18
- 27.1°, d = 3.285 Å, intensity 81
- 37.0°, d = 2.431 Å, intensity 100
- 40.5°, d = 2.228 Å, intensity 72
- 49.4°, d = 1.844 Å, intensity 16
- 56.0°, d = 1.642 Å, intensity 30
- 60.8°, d = 1.523 Å, intensity 14
- 64.2°, d = 1.450 Å, intensity 17
- 65.7°, d = 1.420 Å, intensity 13
- 71.3°, d = 1.322 Å, intensity 28

---

Copy entry 4 word for word.
# LaTcTe2
Computed powder diffractogram, Cu Kα (λ = 1.5418 Å). Input: a PBE-relaxed structure.
Kinematic intensities with the Lorentz-polarization factor, no thermal factor.

Cell and atoms:
a = 4.456 Å, b = 4.456 Å, c = 6.259 Å
α = 90.00°, β = 90.00°, γ = 120.00°
Positions (direct):
La (0.000, 0.000, 0.000)
Tc (0.000, 0.000, 0.500)
Te (0.333, 0.667, 0.320)
Te (0.667, 0.333, 0.680)

Peak list (10 most intense, 2θ = 10–80°, sorted by position)
- 23.0°, d = 3.859 Å, intensity 18
- 27.1°, d = 3.285 Å, intensity 81
- 37.0°, d = 2.431 Å, intensity 100
- 40.5°, d = 2.228 Å, intensity 72
- 49.4°, d = 1.844 Å, intensity 16
- 56.0°, d = 1.642 Å, intensity 30
- 60.8°, d = 1.523 Å, intensity 14
- 64.2°, d = 1.450 Å, intensity 17
- 65.7°, d = 1.420 Å, intensity 13
- 71.3°, d = 1.322 Å, intensity 28